PaBeO3: theoretical XRD peak list (Cu Ka), based on a GGA-PBE-relaxed structure.
Peak positions follow from Bragg's law for the DFT cell and can differ from measured ones.

Atomic structure:
```
data_PaBeO3
_chemical_formula_sum 'Pa1 Be1 O3'
_cell_length_a 3.6077
_cell_length_b 3.6077
_cell_length_c 3.6077
_cell_angle_alpha 90.00
_cell_angle_beta 90.00
_cell_angle_gamma 90.00
_symmetry_space_group_name_H-M 'P m -3 m'
_symmetry_Int_Tables_number 221
_symmetry_space_group_name_Hall '-P 4 2 3'
loop_
_atom_site_label
_atom_site_fract_x
_atom_site_fract_y
_atom_site_fract_z
Pa1 0.0000 0.0000 0.0000
Be1 0.5000 0.5000 0.5000
O1 0.0000 0.5000 0.5000
```

Most intense lines, 15 to 90 degrees two-theta, in order of rising 2θ:
hkl 1 0 0, 24.7°, d 3.608, rel. 100.0; hkl 1 1 0, 35.2°, d 2.551, rel. 94.1; hkl 1 1 1, 43.4°, d 2.083, rel. 54.2; hkl 2 0 0, 50.6°, d 1.804, rel. 28.0; hkl 2 1 0, 57.1°, d 1.613, rel. 44.8; hkl 2 1 1, 63.1°, d 1.473, rel. 37.3; hkl 2 2 0, 74.4°, d 1.276, rel. 17.2; hkl 3 0 0, 79.7°, d 1.203, rel. 22.3; hkl 3 1 0, 85.0°, d 1.141, rel. 17.3